Starting from the PBE geometry in Alexandria, the powder diffraction line list of Sm2Fe5Co5 was simulated for Cu Kα, 1.54184 Å.

Top 6 peaks for 2θ from 5° to 70°, by intensity:
2θ/deg  I (rel.)
42.51  100
30.62  80
42.41  51
41.01  39
46.52  36
35.40  34

Structural model:
abc: 3.905 5.088 8.773
angles: 90.00 90.00 90.00
Space group Pmmm (No. 47)
One atom of each set of equivalent atoms:
Sm (0.000, 0.000, 0.000)
Sm (0.000, 0.500, 0.500)
Fe (0.000, 0.000, 0.331)
Fe (0.000, 0.500, 0.166)
Fe (0.500, 0.000, 0.500)
Co (0.500, 0.250, 0.250)
Co (0.500, 0.500, 0.000)

Starting from the PBE geometry in Alexandria, the powder diffraction line list of AcLaTb4Tm2 was simulated for Cu Kα, 1.54184 Å.

Top 6 peaks for 2θ from 5° to 70°, by intensity:
2θ/deg  I (rel.)
30.25  100
35.07  51
59.95  43
50.44  36
62.91  13
14.98  1

Structural model:
abc: 12.544 7.229 12.541
angles: 90.00 109.48 90.00
Space group C2/m (No. 12)
One atom of each set of equivalent atoms:
Ac (0.000, 0.000, 0.000)
Ac (0.000, 0.000, 0.500)
La (0.250, 0.250, 0.000)
Tb (0.001, 0.253, 0.253)
Tb (0.248, 0.500, 0.744)
Tb (0.249, 0.500, 0.251)
Tm (0.000, 0.500, 0.000)
Tm (0.000, 0.500, 0.500)
Tm (0.250, 0.250, 0.500)

Starting from the PBE geometry in Alexandria, the powder diffraction line list of CeAsHPd was simulated for Cu Kα, 1.54184 Å.

Top 6 peaks for 2θ from 5° to 70°, by intensity:
2θ/deg  I (rel.)
32.81  100
41.44  51
63.55  28
53.83  24
45.91  13
23.57  6

Structural model:
abc: 4.3583 4.3583 3.9534
angles: 90.00 90.00 120.00
Space group P-6m2 (No. 187)
One atom of each set of equivalent atoms:
Ce (0.0000, 0.0000, 0.0000)
As (0.3333, 0.6667, 0.5000)
H (0.6667, 0.3333, 0.0000)
Pd (0.6667, 0.3333, 0.5000)